Entry 1:
# Tb12Ge5S28
Computed X-ray powder pattern, Cu Kα, 1.54184 Å. Input: a crystal structure in the Materials Project, relaxed with GGA-PBE.
Lines closer than 0.1° are merged.

Structural model:
Cell lengths 9.914, 11.449, 11.454 Å; angles 96.94, 115.64, 115.65 degrees
Fractional coordinates of all 45 atoms:
Tb1 0.000 0.000 0.000
Tb2 0.004 0.661 0.881
Tb3 0.146 0.896 0.604
Tb4 0.166 0.279 0.756
Tb5 0.184 0.717 0.285
Tb6 0.483 0.709 0.833
Tb7 0.498 0.144 0.358
Tb8 0.514 0.529 0.506
Tb9 0.666 0.767 0.234
Tb10 0.671 0.426 0.116
Tb11 0.715 0.229 0.805
Tb12 0.954 0.197 0.304
Ge1 0.000 0.543 0.555
Ge2 0.250 0.463 0.140
Ge3 0.321 0.200 0.545
Ge4 0.495 0.044 0.053
Ge5 0.749 0.961 0.640
S1 0.008 0.044 0.473
S2 0.024 0.002 0.762
S3 0.060 0.266 0.956
S4 0.111 0.509 0.755
S5 0.166 0.878 0.128
S6 0.172 0.468 0.297
S7 0.243 0.208 0.309
S8 0.246 0.697 0.565
S9 0.268 0.386 0.581
S10 0.299 0.661 0.104
S11 0.308 0.853 0.864
S12 0.371 0.007 0.509
S13 0.388 0.172 0.089
S14 0.401 0.192 0.773
S15 0.485 0.529 0.969
S16 0.522 0.500 0.264
S17 0.558 0.777 0.443
S18 0.615 0.007 0.252
S19 0.624 0.356 0.610
S20 0.670 0.969 0.795
S21 0.729 0.205 0.056
S22 0.732 0.707 0.791
S23 0.775 0.914 0.090
S24 0.798 0.161 0.604
S25 0.807 0.353 0.363
S26 0.876 0.495 0.003
S27 0.886 0.661 0.600
S28 0.916 0.700 0.307

Largest 12 diffraction maxima, sorted by position, 15 to 90 degrees two-theta:
| two_theta | d (Å) | I (rel.) |
| --- | --- | --- |
| 18.57 | 4.777 | 17.4 |
| 20.71 | 4.290 | 31.2 |
| 23.71 | 3.753 | 30.4 |
| 25.91 | 3.439 | 100.0 |
| 27.51 | 3.243 | 19.5 |
| 31.10 | 2.876 | 19.1 |
| 36.27 | 2.477 | 34.0 |
| 37.66 | 2.389 | 30.7 |
| 37.81 | 2.380 | 32.2 |
| 41.05 | 2.199 | 31.3 |
| 42.00 | 2.151 | 18.1 |
| 49.73 | 1.833 | 18.5 |



Entry 2:
# FeSiW
Computed X-ray powder pattern, Cu Kα, 1.54184 Å. Input: a crystal structure in the Materials Project, relaxed with GGA-PBE.
Lines closer than 0.1° are merged.

Structural model:
Cell lengths 7.549, 4.791, 4.791 Å; angles 60.40, 90.00, 90.00 degrees
Fractional coordinates of all 12 atoms:
Fe1 0.000 0.242 0.758
Fe2 0.000 0.758 0.242
Fe3 0.259 0.410 0.410
Fe4 0.741 0.410 0.410
Si1 0.000 0.247 0.247
Si2 0.500 0.074 0.579
Si3 0.500 0.579 0.074
Si4 0.500 0.579 0.579
W1 0.189 0.744 0.744
W2 0.320 0.077 0.077
W3 0.680 0.077 0.077
W4 0.811 0.744 0.744

Largest 12 diffraction maxima, sorted by position, 15 to 90 degrees two-theta:
| two_theta | d (Å) | I (rel.) |
| --- | --- | --- |
| 21.33 | 4.165 | 20.1 |
| 23.57 | 3.775 | 23.7 |
| 24.41 | 3.647 | 23.8 |
| 37.32 | 2.410 | 27.8 |
| 37.55 | 2.395 | 64.3 |
| 41.97 | 2.153 | 100.0 |
| 44.61 | 2.031 | 33.7 |
| 44.81 | 2.022 | 56.0 |
| 45.16 | 2.008 | 25.3 |
| 65.80 | 1.419 | 14.6 |
| 70.72 | 1.332 | 15.2 |
| 78.20 | 1.222 | 14.0 |



Entry 3:
# Ho3TlC
Computed X-ray powder pattern, Cu Kα, 1.54184 Å. Input: a crystal structure in the Materials Project, relaxed with GGA-PBE.
Lines closer than 0.1° are merged.

Structural model:
Cell lengths 5.579, 5.579, 5.579 Å; angles 90.00, 90.00, 90.00 degrees
Fractional coordinates of all 5 atoms:
Ho1 0.000 0.000 0.500
Ho2 0.000 0.500 0.000
Ho3 0.500 0.000 0.000
Tl1 0.000 0.000 0.000
C1 0.500 0.500 0.500

Largest 12 diffraction maxima, sorted by position, 15 to 90 degrees two-theta:
| two_theta | d (Å) | I (rel.) |
| --- | --- | --- |
| 15.89 | 5.579 | 100.0 |
| 27.70 | 3.221 | 26.9 |
| 32.09 | 2.790 | 74.2 |
| 36.00 | 2.495 | 55.4 |
| 46.01 | 1.972 | 54.9 |
| 48.98 | 1.860 | 29.5 |
| 57.20 | 1.611 | 19.2 |
| 59.77 | 1.547 | 13.2 |
| 69.46 | 1.353 | 16.9 |
| 76.34 | 1.248 | 24.8 |
| 78.58 | 1.217 | 12.1 |
| 85.21 | 1.139 | 19.0 |



Entry 4:
# Ho2CdS4
Computed X-ray powder pattern, Cu Kα, 1.54184 Å. Input: a crystal structure in the Materials Project, relaxed with GGA-PBE.
Lines closer than 0.1° are merged.

Structural model:
Cell lengths 8.026, 8.026, 8.026 Å; angles 120.38, 120.15, 89.54 degrees
Fractional coordinates of all 14 atoms:
Ho1 0.000 0.000 0.000
Ho2 0.378 0.628 0.750
Ho3 0.500 0.000 0.500
Ho4 0.622 0.372 0.250
Cd1 0.000 0.000 0.500
Cd2 0.000 0.500 0.000
S1 0.225 0.241 0.984
S2 0.243 0.759 0.484
S3 0.245 0.228 0.484
S4 0.245 0.761 0.016
S5 0.755 0.239 0.984
S6 0.755 0.772 0.516
S7 0.757 0.241 0.516
S8 0.775 0.759 0.016

Largest 12 diffraction maxima, sorted by position, 15 to 90 degrees two-theta:
| two_theta | d (Å) | I (rel.) |
| --- | --- | --- |
| 22.16 | 4.012 | 35.9 |
| 25.97 | 3.431 | 51.6 |
| 26.12 | 3.412 | 100.0 |
| 27.25 | 3.273 | 14.4 |
| 31.66 | 2.826 | 14.8 |
| 38.98 | 2.311 | 14.4 |
| 41.18 | 2.192 | 17.8 |
| 41.50 | 2.176 | 35.6 |
| 45.19 | 2.007 | 57.1 |
| 45.30 | 2.002 | 14.2 |
| 45.46 | 1.995 | 14.0 |
| 63.03 | 1.475 | 13.5 |



Entry 5:
# HgNCl3
Computed X-ray powder pattern, Cu Kα, 1.54184 Å. Input: a crystal structure in the Materials Project, relaxed with GGA-PBE.
Lines closer than 0.1° are merged.

Structural model:
Cell lengths 4.130, 4.130, 8.012 Å; angles 90.00, 90.00, 90.00 degrees
Fractional coordinates of all 5 atoms:
Hg1 0.000 0.000 0.000
N1 0.500 0.500 0.500
Cl1 0.000 0.000 0.293
Cl2 0.000 0.000 0.707
Cl3 0.500 0.500 0.000

Largest 12 diffraction maxima, sorted by position, 15 to 90 degrees two-theta:
| two_theta | d (Å) | I (rel.) |
| --- | --- | --- |
| 21.51 | 4.130 | 100.0 |
| 22.19 | 4.006 | 32.9 |
| 24.24 | 3.671 | 73.9 |
| 30.61 | 2.921 | 89.6 |
| 32.63 | 2.744 | 59.5 |
| 33.56 | 2.671 | 25.3 |
| 38.13 | 2.360 | 34.1 |
| 40.21 | 2.243 | 43.3 |
| 43.84 | 2.065 | 31.9 |
| 45.33 | 2.001 | 35.8 |
| 46.05 | 1.971 | 41.2 |
| 50.69 | 1.801 | 37.3 |



What is the formula in the second record?
FeSiW